Entry 1:
Calculated XRD peak list of Li4MoOs for Cu Kα (weighted mean of Kα1 and Kα2), from a crystal structure in Alexandria, relaxed with PBE.
Intensities are scaled so that the largest is 100.

Principal peaks in the range 2θ = 10–90°, by angle:
23.21 deg, intensity 100.0
26.86 deg, intensity 9.7
38.35 deg, intensity 82.5
45.31 deg, intensity 61.9
55.36 deg, intensity 12.2
60.82 deg, intensity 21.4
69.35 deg, intensity 28.9
74.23 deg, intensity 19.2
82.13 deg, intensity 10.5
86.79 deg, intensity 16.8

Structural model:
Cell: 4.6941 4.6941 4.6941 Å, 60.00 60.00 60.00°
Fractional positions:
Li 0.3766 0.3766 0.3766
Li 0.3766 0.3766 0.8701
Li 0.3766 0.8701 0.3766
Li 0.8701 0.3766 0.3766
Mo 0.0000 0.0000 0.0000
Os 0.7500 0.7500 0.7500

---

Entry 2:
Calculated XRD peak list of LiMo2Pt for Cu Kα (weighted mean of Kα1 and Kα2), from a crystal structure in Alexandria, relaxed with PBE.
Intensities are scaled so that the largest is 100.

Principal peaks in the range 2θ = 10–90°, by angle:
21.56 deg, intensity 29.8
28.48 deg, intensity 15.1
29.17 deg, intensity 28.5
34.70 deg, intensity 18.2
39.42 deg, intensity 28.4
41.22 deg, intensity 100.0
43.94 deg, intensity 20.8
60.48 deg, intensity 16.0
72.71 deg, intensity 18.6
78.91 deg, intensity 15.0

Structural model:
Cell: 3.1339 4.1216 4.5721 Å, 90.00 90.00 90.00°
Fractional positions:
Li 0.0000 0.0000 0.0000
Mo 0.0000 0.5000 0.5000
Mo 0.5000 0.0000 0.5000
Pt 0.5000 0.5000 0.0000

---

Repeat the second record exactly.
Calculated XRD peak list of LiMo2Pt for Cu Kα (weighted mean of Kα1 and Kα2), from a crystal structure in Alexandria, relaxed with PBE.
Intensities are scaled so that the largest is 100.

Principal peaks in the range 2θ = 10–90°, by angle:
21.56 deg, intensity 29.8
28.48 deg, intensity 15.1
29.17 deg, intensity 28.5
34.70 deg, intensity 18.2
39.42 deg, intensity 28.4
41.22 deg, intensity 100.0
43.94 deg, intensity 20.8
60.48 deg, intensity 16.0
72.71 deg, intensity 18.6
78.91 deg, intensity 15.0

Structural model:
Cell: 3.1339 4.1216 4.5721 Å, 90.00 90.00 90.00°
Fractional positions:
Li 0.0000 0.0000 0.0000
Mo 0.0000 0.5000 0.5000
Mo 0.5000 0.0000 0.5000
Pt 0.5000 0.5000 0.0000